NbFeSe5: simulated PXRD pattern (Cu Kα (λ = 1.5418 Å)), based on a cell relaxed with PBE.
Kinematic intensities with the Lorentz-polarization factor, no thermal factor.

```
data_NbFeSe5
_cell_length_a 9.4148
_cell_length_b 3.4702
_cell_length_c 10.3005
_cell_angle_alpha 90.00
_cell_angle_beta 113.71
_cell_angle_gamma 90.00
_symmetry_space_group_name_H-M 'P 1 21/m 1'
_symmetry_Int_Tables_number 11
loop_
_symmetry_equiv_pos_as_xyz
'x,y,z'
'-x,-y,-z'
'-x,y+1/2,-z'
'x,-y+1/2,z'
loop_
_atom_site_label
_atom_site_fract_x
_atom_site_fract_y
_atom_site_fract_z
_atom_site_occupancy
Nb1 0.2243 0.2500 0.1329 1
Fe1 0.0516 0.7500 0.4026 1
Se1 0.0128 0.7500 0.1371 1
Se2 0.1457 0.7500 0.6570 1
Se3 0.2474 0.2500 0.4094 1
Se4 0.3334 0.7500 0.9986 1
Se5 0.4557 0.7500 0.2562 1
```

Main lines, sorted by position (2θ from 10° to 90°):
2theta, intensity, h k l
10.26, 29, 1 0 0
16.49, 30, 1 0 1
32.06, 100, 2 1 -1
35.19, 36, 1 0 -4
40.77, 28, 3 1 0
43.13, 28, 1 1 3
44.07, 20, 1 1 -4
49.77, 16, 5 0 -1
52.76, 19, 0 2 0
65.01, 12, 1 2 -4